# 1
As3W: theoretical powder diffractogram (Cu Kα, 1.54184 Å), based on a structure optimized by DFT (GGA-PBE).
No peak broadening, texture or thermal motion is included.

Structural model:
```
data_As3W
_chemical_formula_sum 'As12 W4'
_symmetry_space_group_name_H-M 'F m -3 m'
_symmetry_Int_Tables_number 225
_symmetry_space_group_name_Hall '-F 4 2 3'
_cell_length_a 6.463
_cell_length_b 6.463
_cell_length_c 6.463
_cell_angle_alpha 90.00
_cell_angle_beta 90.00
_cell_angle_gamma 90.00
loop_
_atom_site_label
_atom_site_fract_x
_atom_site_fract_y
_atom_site_fract_z
As1 0.000 0.000 0.000
As2 0.250 0.250 0.250
W1 0.000 0.000 0.500
```

Largest 10 diffraction maxima, sorted by position, 15° ≤ 2θ ≤ 90°:
| Position (°2θ) | Rel. int. |
| --- | --- |
| 23.8 | 15.1 |
| 27.6 | 7.9 |
| 39.4 | 100.0 |
| 46.6 | 8.0 |
| 57.0 | 17.0 |
| 62.7 | 3.4 |
| 64.5 | 3.1 |
| 71.5 | 34.5 |
| 84.9 | 11.1 |
| 89.8 | 2.7 |

---

# 2
K3AsF6: theoretical powder diffractogram (Cu Kα, 1.54184 Å), based on a structure optimized by DFT (GGA-PBE).
No peak broadening, texture or thermal motion is included.

Structural model:
```
data_K3AsF6
_chemical_formula_sum 'K3 As1 F6'
_symmetry_space_group_name_H-M 'P -1'
_symmetry_Int_Tables_number 2
_cell_length_a 6.772
_cell_length_b 6.784
_cell_length_c 6.815
_cell_angle_alpha 103.15
_cell_angle_beta 103.18
_cell_angle_gamma 103.12
loop_
_symmetry_equiv_pos_as_xyz
'x,y,z'
'-x,-y,-z'
loop_
_atom_site_label
_atom_site_fract_x
_atom_site_fract_y
_atom_site_fract_z
K1 0.000 0.000 0.000
K2 0.000 0.500 0.500
K3 0.500 0.000 0.500
As1 0.000 0.000 0.500
F1 0.066 0.778 0.278
F2 0.221 0.934 0.723
F3 0.226 0.225 0.442
```

Largest 10 diffraction maxima, sorted by position, 15° ≤ 2θ ≤ 90°:
| Position (°2θ) | Rel. int. |
| --- | --- |
| 16.7 | 52.9 |
| 28.1 | 35.6 |
| 28.3 | 67.1 |
| 33.7 | 51.5 |
| 35.4 | 25.8 |
| 36.7 | 87.7 |
| 42.9 | 42.2 |
| 43.0 | 29.5 |
| 44.5 | 100.0 |
| 46.2 | 26.7 |

---

# 3
EuCl2: theoretical powder diffractogram (Cu Kα, 1.54184 Å), based on a structure optimized by DFT (GGA-PBE).
No peak broadening, texture or thermal motion is included.

Structural model:
```
data_EuCl2
_chemical_formula_sum 'Eu4 Cl8'
_symmetry_space_group_name_H-M 'P n m a'
_symmetry_Int_Tables_number 62
_cell_length_a 7.546
_cell_length_b 4.558
_cell_length_c 9.041
_cell_angle_alpha 90.00
_cell_angle_beta 90.00
_cell_angle_gamma 90.00
loop_
_symmetry_equiv_pos_as_xyz
'x,y,z'
'-x,-y,-z'
'-x+1/2,-y,z+1/2'
'x+1/2,y,-z+1/2'
'x+1/2,-y+1/2,-z+1/2'
'-x+1/2,y+1/2,z+1/2'
'-x,y+1/2,-z'
'x,-y+1/2,z'
loop_
_atom_site_label
_atom_site_fract_x
_atom_site_fract_y
_atom_site_fract_z
Eu1 0.245 0.250 0.110
Cl1 0.018 0.250 0.838
Cl2 0.141 0.250 0.424
```

Largest 10 diffraction maxima, sorted by position, 15° ≤ 2θ ≤ 90°:
| Position (°2θ) | Rel. int. |
| --- | --- |
| 21.8 | 51.1 |
| 22.9 | 100.0 |
| 23.6 | 47.8 |
| 24.9 | 98.5 |
| 32.4 | 97.4 |
| 35.7 | 60.8 |
| 39.5 | 41.1 |
| 41.1 | 44.6 |
| 42.2 | 43.5 |
| 43.2 | 53.6 |

---

# 4
KMg6Cr: theoretical powder diffractogram (Cu Kα, 1.54184 Å), based on a structure optimized by DFT (GGA-PBE).
No peak broadening, texture or thermal motion is included.

Structural model:
```
data_KMg6Cr
_chemical_formula_sum 'K2 Mg12 Cr2'
_symmetry_space_group_name_H-M 'A m m 2'
_symmetry_Int_Tables_number 38
_cell_length_a 5.310
_cell_length_b 6.612
_cell_length_c 11.540
_cell_angle_alpha 90.00
_cell_angle_beta 90.00
_cell_angle_gamma 90.00
loop_
_symmetry_equiv_pos_as_xyz
'x,y,z'
'-x,-y,z'
'-x,y,z'
'x,-y,z'
'x,y+1/2,z+1/2'
'-x,-y+1/2,z+1/2'
'-x,y+1/2,z+1/2'
'x,-y+1/2,z+1/2'
loop_
_atom_site_label
_atom_site_fract_x
_atom_site_fract_y
_atom_site_fract_z
K1 0.000 0.000 0.000
Mg1 0.000 0.000 0.502
Mg2 0.000 0.242 0.753
Mg3 0.500 0.000 0.335
Mg4 0.500 0.236 0.590
Cr1 0.500 0.000 0.819
```

Largest 10 diffraction maxima, sorted by position, 15° ≤ 2θ ≤ 90°:
| Position (°2θ) | Rel. int. |
| --- | --- |
| 15.4 | 15.0 |
| 31.0 | 14.1 |
| 31.2 | 21.3 |
| 33.8 | 38.1 |
| 35.4 | 45.1 |
| 35.6 | 100.0 |
| 46.6 | 13.0 |
| 55.3 | 15.5 |
| 61.6 | 18.1 |
| 66.3 | 17.1 |